Entry 1:
This entry pairs a crystal structure of Cu4Au with its calculated powder diffractogram. Radiation: Cu Kα (λ = 1.5418 Å). Structure: DFT lattice parameters and positions (GGA-PBE).

Top 6 peaks for 2θ from 5° to 70°, sorted by position:
- 2θ = 10.12°, I 33
- 2θ = 32.92°, I 15
- 2θ = 36.07°, I 19
- 2θ = 41.74°, I 100
- 2θ = 46.64°, I 38
- 2θ = 68.09°, I 15

Structure:
```
data_Cu4Au
_symmetry_space_group_name_H-M 'I 4/m m m'
_symmetry_Int_Tables_number 139
_symmetry_space_group_name_Hall '-I 4 2'
_cell_length_a 2.7541
_cell_length_b 2.7541
_cell_length_c 17.4882
_cell_angle_alpha 90.00
_cell_angle_beta 90.00
_cell_angle_gamma 90.00
loop_
_atom_site_label
_atom_site_type_symbol
_atom_site_fract_x
_atom_site_fract_y
_atom_site_fract_z
Cu1 Cu 0.0000 0.0000 0.1116
Cu2 Cu 0.0000 0.0000 0.2959
Au1 Au 0.0000 0.0000 0.5000
```

=====

Entry 2:
This entry pairs a crystal structure of Cu4Au with its calculated powder diffractogram. Radiation: Cu Kα (λ = 1.5418 Å). Structure: DFT lattice parameters and positions (GGA-PBE).

Top 6 peaks for 2θ from 5° to 70°, sorted by position:
- 2θ = 27.08°, I 93
- 2θ = 28.88°, I 86
- 2θ = 31.85°, I 71
- 2θ = 41.48°, I 100
- 2θ = 45.43°, I 71
- 2θ = 45.82°, I 65

Structure:
```
data_Cu4Au
_symmetry_space_group_name_H-M 'P 1 2/c 1'
_symmetry_Int_Tables_number 13
_cell_length_a 6.6151
_cell_length_b 4.9464
_cell_length_c 4.4707
_cell_angle_alpha 90.00
_cell_angle_beta 99.15
_cell_angle_gamma 90.00
loop_
_symmetry_equiv_pos_as_xyz
'x,y,z'
'-x,-y,-z'
'-x,y,-z+1/2'
'x,-y,z+1/2'
loop_
_atom_site_label
_atom_site_type_symbol
_atom_site_fract_x
_atom_site_fract_y
_atom_site_fract_z
Cu1 Cu 0.1620 0.1178 0.4575
Cu2 Cu 0.1627 0.3838 0.9447
Au1 Au 0.5000 0.2081 0.2500
```

=====

Entry 3:
This entry pairs a crystal structure of CuAu3 with its calculated powder diffractogram. Radiation: Cu Kα (λ = 1.5418 Å). Structure: DFT lattice parameters and positions (GGA-PBE).

Top 6 peaks for 2θ from 5° to 70°, sorted by position:
- 2θ = 35.76°, I 25
- 2θ = 38.36°, I 40
- 2θ = 40.76°, I 100
- 2θ = 41.58°, I 49
- 2θ = 53.45°, I 16
- 2θ = 65.45°, I 17

Structure:
```
data_CuAu3
_symmetry_space_group_name_H-M 'P m m n'
_symmetry_Int_Tables_number 59
_cell_length_a 4.6928
_cell_length_b 5.8475
_cell_length_c 4.9005
_cell_angle_alpha 90.00
_cell_angle_beta 90.00
_cell_angle_gamma 90.00
loop_
_symmetry_equiv_pos_as_xyz
'x,y,z'
'-x,-y,-z'
'-x+1/2,-y+1/2,z'
'x+1/2,y+1/2,-z'
'x+1/2,-y,-z'
'-x+1/2,y,z'
'-x,y+1/2,-z'
'x,-y+1/2,z'
loop_
_atom_site_label
_atom_site_type_symbol
_atom_site_fract_x
_atom_site_fract_y
_atom_site_fract_z
Cu1 Cu 0.2500 0.2500 0.1666
Au1 Au 0.2500 0.0021 0.6685
Au2 Au 0.2500 0.7500 0.1565
```

=====

Entry 4:
This entry pairs a crystal structure of Cu5Au3 with its calculated powder diffractogram. Radiation: Cu Kα (λ = 1.5418 Å). Structure: DFT lattice parameters and positions (GGA-PBE).

Top 6 peaks for 2θ from 5° to 70°, sorted by position:
- 2θ = 29.96°, I 64
- 2θ = 37.93°, I 21
- 2θ = 40.68°, I 100
- 2θ = 44.93°, I 31
- 2θ = 51.39°, I 24
- 2θ = 53.34°, I 20

Structure:
```
data_Cu5Au3
_symmetry_space_group_name_H-M 'P 63/m c m'
_symmetry_Int_Tables_number 193
_symmetry_space_group_name_Hall '-P 6c 2'
_cell_length_a 7.6706
_cell_length_b 7.6706
_cell_length_c 4.7448
_cell_angle_alpha 90.00
_cell_angle_beta 90.00
_cell_angle_gamma 120.00
loop_
_atom_site_label
_atom_site_type_symbol
_atom_site_fract_x
_atom_site_fract_y
_atom_site_fract_z
Cu1 Cu 0.0000 0.2016 0.2500
Cu2 Cu 0.3333 0.6667 0.0000
Au1 Au 0.0000 0.3926 0.7500
```

=====

Entry 5:
This entry pairs a crystal structure of Cu4Au with its calculated powder diffractogram. Radiation: Cu Kα (λ = 1.5418 Å). Structure: DFT lattice parameters and positions (GGA-PBE).

Top 6 peaks for 2θ from 5° to 70°, sorted by position:
- 2θ = 21.28°, I 15
- 2θ = 27.92°, I 20
- 2θ = 30.27°, I 10
- 2θ = 41.65°, I 100
- 2θ = 47.88°, I 15
- 2θ = 48.76°, I 32

Structure:
```
data_Cu4Au
_symmetry_space_group_name_H-M 'I 4/m'
_symmetry_Int_Tables_number 87
_symmetry_space_group_name_Hall '-I 4'
_cell_length_a 5.9054
_cell_length_b 5.9054
_cell_length_c 3.7994
_cell_angle_alpha 90.00
_cell_angle_beta 90.00
_cell_angle_gamma 90.00
loop_
_atom_site_label
_atom_site_type_symbol
_atom_site_fract_x
_atom_site_fract_y
_atom_site_fract_z
Cu1 Cu 0.0939 0.6939 0.0000
Au1 Au 0.0000 0.0000 0.5000
```

=====

Entry 6:
This entry pairs a crystal structure of Cu7Au3 with its calculated powder diffractogram. Radiation: Cu Kα (λ = 1.5418 Å). Structure: DFT lattice parameters and positions (GGA-PBE).

Top 6 peaks for 2θ from 5° to 70°, sorted by position:
- 2θ = 23.48°, I 26
- 2θ = 33.08°, I 22
- 2θ = 40.85°, I 100
- 2θ = 41.08°, I 99
- 2θ = 46.90°, I 33
- 2θ = 48.04°, I 63

Structure:
```
data_Cu7Au3
_symmetry_space_group_name_H-M 'C 1 2/m 1'
_symmetry_Int_Tables_number 12
_cell_length_a 13.8234
_cell_length_b 3.7866
_cell_length_c 5.4414
_cell_angle_alpha 90.00
_cell_angle_beta 102.63
_cell_angle_gamma 90.00
loop_
_symmetry_equiv_pos_as_xyz
'x,y,z'
'-x,-y,-z'
'-x,y,-z'
'x,-y,z'
'x+1/2,y+1/2,z'
'-x+1/2,-y+1/2,-z'
'-x+1/2,y+1/2,-z'
'x+1/2,-y+1/2,z'
loop_
_atom_site_label
_atom_site_type_symbol
_atom_site_fract_x
_atom_site_fract_y
_atom_site_fract_z
Cu1 Cu 0.0000 0.0000 0.0000
Cu2 Cu 0.0972 0.5000 0.8023
Cu3 Cu 0.0991 0.5000 0.3051
Cu4 Cu 0.1996 0.0000 0.5989
Au1 Au 0.0000 0.0000 0.5000
Au2 Au 0.1955 0.0000 0.1103
```

=====

Entry 7:
This entry pairs a crystal structure of Cu5Au3 with its calculated powder diffractogram. Radiation: Cu Kα (λ = 1.5418 Å). Structure: DFT lattice parameters and positions (GGA-PBE).

Top 6 peaks for 2θ from 5° to 70°, sorted by position:
- 2θ = 38.44°, I 69
- 2θ = 39.22°, I 53
- 2θ = 39.34°, I 52
- 2θ = 40.67°, I 100
- 2θ = 42.69°, I 56
- 2θ = 44.72°, I 64

Structure:
```
data_Cu5Au3
_symmetry_space_group_name_H-M 'C 1 m 1'
_symmetry_Int_Tables_number 8
_cell_length_a 4.8950
_cell_length_b 13.6720
_cell_length_c 7.0742
_cell_angle_alpha 90.00
_cell_angle_beta 96.70
_cell_angle_gamma 90.00
loop_
_symmetry_equiv_pos_as_xyz
'x,y,z'
'x,-y,z'
'x+1/2,y+1/2,z'
'x+1/2,-y+1/2,z'
loop_
_atom_site_label
_atom_site_type_symbol
_atom_site_fract_x
_atom_site_fract_y
_atom_site_fract_z
Cu1 Cu 0.0000 0.0000 0.0000
Cu2 Cu 0.0093 0.4011 0.5651
Cu3 Cu 0.0707 0.2044 0.6010
Cu4 Cu 0.1152 0.0932 0.3057
Cu5 Cu 0.2933 0.1488 0.0036
Cu6 Cu 0.4847 0.0000 0.8578
Au1 Au 0.0081 0.0000 0.6243
Au2 Au 0.0833 0.5000 0.2340
Au3 Au 0.1771 0.2956 0.2826
Au4 Au 0.2734 0.3294 0.8798
```

=====

Entry 8:
This entry pairs a crystal structure of CuAu3 with its calculated powder diffractogram. Radiation: Cu Kα (λ = 1.5418 Å). Structure: DFT lattice parameters and positions (GGA-PBE).

Top 6 peaks for 2θ from 5° to 70°, sorted by position:
- 2θ = 35.72°, I 10
- 2θ = 39.43°, I 100
- 2θ = 39.62°, I 25
- 2θ = 39.86°, I 22
- 2θ = 56.52°, I 9
- 2θ = 57.46°, I 15

Structure:
```
data_CuAu3
_symmetry_space_group_name_H-M 'I m m 2'
_symmetry_Int_Tables_number 44
_cell_length_a 3.2562
_cell_length_b 9.0455
_cell_length_c 4.5497
_cell_angle_alpha 90.00
_cell_angle_beta 90.00
_cell_angle_gamma 90.00
loop_
_symmetry_equiv_pos_as_xyz
'x,y,z'
'-x,-y,z'
'-x,y,z'
'x,-y,z'
'x+1/2,y+1/2,z+1/2'
'-x+1/2,-y+1/2,z+1/2'
'-x+1/2,y+1/2,z+1/2'
'x+1/2,-y+1/2,z+1/2'
loop_
_atom_site_label
_atom_site_type_symbol
_atom_site_fract_x
_atom_site_fract_y
_atom_site_fract_z
Cu1 Cu 0.0000 0.0000 0.0000
Au1 Au 0.0000 0.2678 0.4980
Au2 Au 0.0000 0.5000 0.9997
```